Tl8IF6: simulated PXRD pattern (λ = 1.5418 Å (Cu Kα)), based on the GGA-PBE geometry in Alexandria.
Neutral-atom scattering factors, no anomalous dispersion.

The 6 most intense peaks (2θ = 10–90°), by angle:
2θ 11.7, I 53
2θ 13.5, I 38
2θ 29.6, I 100
2θ 35.5, I 41
2θ 38.8, I 33
2θ 57.4, I 35

Structure:
Cell: 9.289 9.289 9.289 Å, 60.00 60.00 60.00°
Fractional positions:
Tl: 0.154 0.154 0.154
Tl: 0.154 0.154 0.539
Tl: 0.154 0.539 0.154
Tl: 0.461 0.846 0.846
Tl: 0.539 0.154 0.154
Tl: 0.846 0.461 0.846
Tl: 0.846 0.846 0.461
Tl: 0.846 0.846 0.846
I: 0.000 0.000 0.000
F: 0.000 0.000 0.500
F: 0.000 0.500 0.000
F: 0.000 0.500 0.500
F: 0.500 0.000 0.000
F: 0.500 0.000 0.500
F: 0.500 0.500 0.000



Tl4I3F: simulated PXRD pattern (λ = 1.5418 Å (Cu Kα)), based on the GGA-PBE geometry in Alexandria.
Neutral-atom scattering factors, no anomalous dispersion.

The 6 most intense peaks (2θ = 10–90°), by angle:
2θ 19.1, I 45
2θ 23.9, I 40
2θ 29.2, I 100
2θ 30.8, I 76
2θ 32.7, I 75
2θ 49.0, I 53

Structure:
Cell: 9.551 9.551 9.551 Å, 150.60 129.74 59.30°
Fractional positions:
Tl: 0.125 0.889 0.236
Tl: 0.347 0.111 0.236
Tl: 0.653 0.889 0.764
Tl: 0.875 0.111 0.764
I: 0.209 0.709 0.500
I: 0.500 0.500 0.000
I: 0.791 0.291 0.500
F: 0.000 0.000 0.000



TlIF3: simulated PXRD pattern (λ = 1.5418 Å (Cu Kα)), based on the GGA-PBE geometry in Alexandria.
Neutral-atom scattering factors, no anomalous dispersion.

The 6 most intense peaks (2θ = 10–90°), by angle:
2θ 19.9, I 69
2θ 25.5, I 100
2θ 25.8, I 60
2θ 28.0, I 66
2θ 32.0, I 49
2θ 41.5, I 51

Structure:
Cell: 5.230 5.599 6.980 Å, 90.00 98.59 90.00°
Fractional positions:
Tl: 0.210 0.250 0.046
Tl: 0.790 0.750 0.954
I: 0.444 0.750 0.544
I: 0.556 0.250 0.456
F: 0.023 0.002 0.808
F: 0.023 0.498 0.808
F: 0.444 0.750 0.075
F: 0.556 0.250 0.925
F: 0.977 0.502 0.192
F: 0.977 0.998 0.192



Tl3I2F: simulated PXRD pattern (λ = 1.5418 Å (Cu Kα)), based on the GGA-PBE geometry in Alexandria.
Neutral-atom scattering factors, no anomalous dispersion.

The 6 most intense peaks (2θ = 10–90°), by angle:
2θ 25.4, I 61
2θ 26.3, I 33
2θ 27.1, I 100
2θ 34.3, I 34
2θ 37.4, I 38
2θ 37.5, I 33

Structure:
Cell: 8.199 8.199 9.247 Å, 106.32 106.32 50.64°
Fractional positions:
Tl: 0.072 0.928 0.750
Tl: 0.369 0.369 0.433
Tl: 0.369 0.369 0.933
Tl: 0.631 0.631 0.067
Tl: 0.631 0.631 0.567
Tl: 0.928 0.072 0.250
I: 0.183 0.187 0.092
I: 0.187 0.183 0.592
I: 0.813 0.817 0.408
I: 0.817 0.813 0.908
F: 0.422 0.578 0.750
F: 0.578 0.422 0.250



Tl5I4F: simulated PXRD pattern (λ = 1.5418 Å (Cu Kα)), based on the GGA-PBE geometry in Alexandria.
Neutral-atom scattering factors, no anomalous dispersion.

The 6 most intense peaks (2θ = 10–90°), by angle:
2θ 25.5, I 100
2θ 26.3, I 28
2θ 29.8, I 26
2θ 36.3, I 40
2θ 36.9, I 46
2θ 45.4, I 26

Structure:
Cell: 17.305 17.305 17.305 Å, 163.57 163.57 23.31°
Fractional positions:
Tl: 0.000 0.000 0.000
Tl: 0.203 0.203 0.000
Tl: 0.421 0.421 0.000
Tl: 0.579 0.579 0.000
Tl: 0.797 0.797 0.000
I: 0.098 0.098 0.000
I: 0.308 0.308 0.000
I: 0.692 0.692 0.000
I: 0.902 0.902 0.000
F: 0.500 0.500 0.000



Tl3I2F: simulated PXRD pattern (λ = 1.5418 Å (Cu Kα)), based on the GGA-PBE geometry in Alexandria.
Neutral-atom scattering factors, no anomalous dispersion.

The 6 most intense peaks (2θ = 10–90°), by angle:
2θ 23.2, I 67
2θ 26.0, I 74
2θ 26.4, I 100
2θ 27.2, I 68
2θ 33.0, I 65
2θ 37.9, I 72

Structure:
Cell: 13.619 4.749 14.422 Å, 90.00 90.00 90.00°
Fractional positions:
Tl: 0.070 0.250 0.138
Tl: 0.139 0.750 0.564
Tl: 0.230 0.250 0.793
Tl: 0.270 0.750 0.293
Tl: 0.361 0.250 0.064
Tl: 0.430 0.750 0.638
Tl: 0.570 0.250 0.362
Tl: 0.639 0.750 0.936
Tl: 0.730 0.250 0.707
Tl: 0.770 0.750 0.207
Tl: 0.861 0.250 0.436
Tl: 0.930 0.750 0.862
I: 0.007 0.750 0.315
I: 0.181 0.750 0.988
I: 0.319 0.250 0.488
I: 0.493 0.250 0.815
I: 0.507 0.750 0.185
I: 0.681 0.750 0.512
I: 0.819 0.250 0.012
I: 0.993 0.250 0.685
F: 0.246 0.250 0.201
F: 0.254 0.750 0.701
F: 0.746 0.250 0.299
F: 0.754 0.750 0.799